This entry pairs a crystal structure of LiSn3Pd2 with its calculated powder XRD pattern. Radiation: copper Kα. Structure: DFT lattice parameters and positions (GGA-PBE).

Structural model:
```
LiSn3Pd2
1.0
6.480 0.000 0.000
-3.240 5.612 0.000
0.000 0.000 6.701
Li Sn Pd
2 6 4
direct
0.333 0.667 0.199
0.667 0.333 0.801
0.170 0.339 0.804
0.170 0.830 0.804
0.339 0.170 0.196
0.661 0.830 0.804
0.830 0.170 0.196
0.830 0.661 0.196
0.000 0.000 0.500
0.000 0.500 0.500
0.500 0.000 0.500
0.500 0.500 0.500
```

Main lines, by angle (2θ = 5–70°):
- 2θ = 13.21°, d = 6.701 Å, I 9.8
- 2θ = 20.64°, d = 4.303 Å, I 21.6
- 2θ = 27.53°, d = 3.240 Å, I 7.2
- 2θ = 34.66°, d = 2.588 Å, I 100.0
- 2θ = 40.38°, d = 2.234 Å, I 18.4
- 2θ = 42.00°, d = 2.151 Å, I 59.5
- 2θ = 52.35°, d = 1.748 Å, I 5.9
- 2θ = 56.83°, d = 1.620 Å, I 24.9
- 2θ = 64.82°, d = 1.438 Å, I 12.8
- 2θ = 68.30°, d = 1.373 Å, I 14.2

This entry pairs a crystal structure of LiNb2Te4Cl10O with its calculated powder XRD pattern. Radiation: copper Kα. Structure: DFT lattice parameters and positions (GGA-PBE).

Structural model:
```
LiNb2Te4Cl10O
1.0
6.865 0.000 0.000
2.391 8.623 0.000
0.391 1.678 9.563
Li Nb Te Cl O
1 2 4 10 1
direct
0.000 0.000 0.000
0.296 0.279 0.941
0.357 0.554 0.191
0.000 0.791 0.713
0.642 0.005 0.399
0.724 0.712 0.561
0.911 0.087 0.555
0.029 0.731 0.107
0.142 0.140 0.135
0.179 0.415 0.356
0.209 0.068 0.809
0.373 0.732 0.349
0.437 0.380 0.733
0.519 0.688 0.014
0.618 0.087 0.000
0.669 0.375 0.279
0.967 0.440 0.860
0.334 0.413 0.053
```

Main lines, by angle (2θ = 5–70°):
- 2θ = 12.69°, d = 6.977 Å, I 25.7
- 2θ = 14.64°, d = 6.052 Å, I 22.9
- 2θ = 15.10°, d = 5.867 Å, I 27.1
- 2θ = 16.23°, d = 5.460 Å, I 100.0
- 2θ = 19.06°, d = 4.656 Å, I 20.7
- 2θ = 19.67°, d = 4.513 Å, I 27.1
- 2θ = 20.36°, d = 4.362 Å, I 28.6
- 2θ = 22.87°, d = 3.889 Å, I 22.8
- 2θ = 25.33°, d = 3.516 Å, I 26.1
- 2θ = 30.95°, d = 2.890 Å, I 28.9

This entry pairs a crystal structure of CaMgAl6 with its calculated powder XRD pattern. Radiation: copper Kα. Structure: DFT lattice parameters and positions (GGA-PBE).

Structural model:
```
CaMgAl6
1.0
4.518 0.000 0.000
0.000 6.452 0.000
0.000 0.000 5.423
Ca Mg Al
1 1 6
direct
0.000 0.000 0.000
0.500 0.500 0.288
0.000 0.268 0.488
0.000 0.500 0.966
0.000 0.732 0.488
0.500 0.000 0.426
0.500 0.290 0.796
0.500 0.710 0.796
```

Main lines, by angle (2θ = 5–70°):
- 2θ = 29.21°, d = 3.057 Å, I 11.6
- 2θ = 32.29°, d = 2.773 Å, I 25.3
- 2θ = 33.03°, d = 2.712 Å, I 12.2
- 2θ = 35.92°, d = 2.500 Å, I 6.4
- 2θ = 38.08°, d = 2.363 Å, I 100.0
- 2θ = 38.73°, d = 2.325 Å, I 41.9
- 2θ = 39.91°, d = 2.259 Å, I 32.3
- 2θ = 52.23°, d = 1.751 Å, I 12.0
- 2θ = 57.10°, d = 1.613 Å, I 8.1
- 2θ = 58.52°, d = 1.577 Å, I 12.8

This entry pairs a crystal structure of LiPm2Ni4Sb3 with its calculated powder XRD pattern. Radiation: copper Kα. Structure: DFT lattice parameters and positions (GGA-PBE).

Structural model:
```
LiPm2Ni4Sb3
1.0
4.333 0.000 0.000
0.000 4.333 0.000
0.000 0.000 10.088
Li Pm Ni Sb
1 2 4 3
direct
0.000 0.000 0.000
0.000 0.500 0.742
0.500 0.000 0.258
0.000 0.000 0.500
0.000 0.500 0.123
0.500 0.000 0.877
0.500 0.500 0.500
0.000 0.500 0.366
0.500 0.000 0.634
0.500 0.500 0.000
```

Main lines, by angle (2θ = 5–70°):
- 2θ = 8.77°, d = 10.088 Å, I 13.6
- 2θ = 29.14°, d = 3.064 Å, I 39.3
- 2θ = 33.74°, d = 2.657 Å, I 93.3
- 2θ = 34.24°, d = 2.619 Å, I 100.0
- 2θ = 41.69°, d = 2.167 Å, I 75.2
- 2θ = 46.64°, d = 1.947 Å, I 13.9
- 2θ = 49.86°, d = 1.829 Å, I 36.6
- 2θ = 54.66°, d = 1.679 Å, I 46.2
- 2θ = 60.42°, d = 1.532 Å, I 24.4
- 2θ = 66.95°, d = 1.398 Å, I 29.7

This entry pairs a crystal structure of NdHoCoPd with its calculated powder XRD pattern. Radiation: copper Kα. Structure: DFT lattice parameters and positions (GGA-PBE).

Structural model:
```
NdHoCoPd
1.0
0.000 3.484 3.484
3.484 0.000 3.484
3.484 3.484 0.000
Nd Ho Co Pd
1 1 1 1
direct
0.000 0.000 0.000
0.500 0.500 0.500
0.750 0.750 0.750
0.250 0.250 0.250
```

Main lines, by angle (2θ = 5–70°):
- 2θ = 22.10°, d = 4.023 Å, I 2.6
- 2θ = 25.57°, d = 3.484 Å, I 10.0
- 2θ = 36.48°, d = 2.463 Å, I 100.0
- 2θ = 43.06°, d = 2.101 Å, I 1.4
- 2θ = 45.08°, d = 2.011 Å, I 3.1
- 2θ = 52.54°, d = 1.742 Å, I 17.4
- 2θ = 57.67°, d = 1.598 Å, I 0.6
- 2θ = 59.32°, d = 1.558 Å, I 4.3
- 2θ = 65.65°, d = 1.422 Å, I 35.1

This entry pairs a crystal structure of TbPr8In6 with its calculated powder XRD pattern. Radiation: copper Kα. Structure: DFT lattice parameters and positions (GGA-PBE).

Structural model:
```
TbPr8In6
1.0
4.644 2.681 6.693
-4.644 2.681 6.693
0.000 -5.362 6.693
Tb Pr In
1 8 6
direct
0.000 0.000 0.000
0.115 0.781 0.452
0.219 0.548 0.885
0.334 0.334 0.334
0.452 0.115 0.781
0.548 0.885 0.219
0.666 0.666 0.666
0.781 0.452 0.115
0.885 0.219 0.548
0.053 0.380 0.727
0.273 0.947 0.620
0.380 0.727 0.053
0.620 0.273 0.947
0.727 0.053 0.380
0.947 0.620 0.273
```

Main lines, by angle (2θ = 5–70°):
- 2θ = 13.23°, d = 6.693 Å, I 7.5
- 2θ = 19.11°, d = 4.644 Å, I 10.6
- 2θ = 23.31°, d = 3.816 Å, I 29.8
- 2θ = 32.99°, d = 2.715 Å, I 100.0
- 2θ = 33.42°, d = 2.681 Å, I 91.8
- 2θ = 47.67°, d = 1.908 Å, I 35.2
- 2θ = 58.64°, d = 1.574 Å, I 16.8
- 2θ = 59.46°, d = 1.554 Å, I 35.8
- 2θ = 59.74°, d = 1.548 Å, I 16.8
- 2θ = 69.20°, d = 1.358 Å, I 10.1

This entry pairs a crystal structure of TaCu2As with its calculated powder XRD pattern. Radiation: copper Kα. Structure: DFT lattice parameters and positions (GGA-PBE).

Structural model:
```
TaCu2As
1.0
3.079 0.000 0.000
0.000 3.748 0.000
0.000 0.000 5.232
Ta Cu As
1 2 1
direct
0.000 0.000 0.000
0.500 0.500 0.245
0.500 0.500 0.755
0.000 0.000 0.500
```

Main lines, by angle (2θ = 5–70°):
- 2θ = 16.95°, d = 5.232 Å, I 25.0
- 2θ = 23.74°, d = 3.748 Å, I 14.4
- 2θ = 29.31°, d = 3.047 Å, I 11.6
- 2θ = 37.82°, d = 2.379 Å, I 100.0
- 2θ = 41.71°, d = 2.166 Å, I 11.0
- 2θ = 42.12°, d = 2.145 Å, I 73.5
- 2θ = 45.50°, d = 1.994 Å, I 58.7
- 2θ = 48.59°, d = 1.874 Å, I 24.2
- 2θ = 60.11°, d = 1.539 Å, I 12.6
- 2θ = 68.75°, d = 1.365 Å, I 33.1

This entry pairs a crystal structure of Dy3InOs with its calculated powder XRD pattern. Radiation: copper Kα. Structure: DFT lattice parameters and positions (GGA-PBE).

Structural model:
```
Dy3InOs
1.0
0.000 4.809 8.133
3.279 0.000 8.133
3.279 4.809 0.000
Dy In Os
6 2 2
direct
0.197 0.579 0.421
0.201 0.201 0.799
0.421 0.803 0.197
0.579 0.197 0.803
0.799 0.799 0.201
0.803 0.421 0.579
0.210 0.790 0.790
0.790 0.210 0.210
0.250 0.250 0.250
0.750 0.750 0.750
```

Main lines, by angle (2θ = 5–70°):
- 2θ = 10.88°, d = 8.133 Å, I 38.0
- 2θ = 31.54°, d = 2.836 Å, I 54.8
- 2θ = 32.09°, d = 2.789 Å, I 52.6
- 2θ = 34.91°, d = 2.570 Å, I 100.0
- 2θ = 35.16°, d = 2.553 Å, I 67.3
- 2θ = 35.28°, d = 2.544 Å, I 27.5
- 2θ = 37.40°, d = 2.405 Å, I 23.8
- 2θ = 38.11°, d = 2.362 Å, I 39.8
- 2θ = 39.99°, d = 2.255 Å, I 42.6
- 2θ = 57.39°, d = 1.606 Å, I 28.3

Please write out number 1 again, unchanged.
This entry pairs a crystal structure of LiSn3Pd2 with its calculated powder XRD pattern. Radiation: copper Kα. Structure: DFT lattice parameters and positions (GGA-PBE).

Structural model:
```
LiSn3Pd2
1.0
6.480 0.000 0.000
-3.240 5.612 0.000
0.000 0.000 6.701
Li Sn Pd
2 6 4
direct
0.333 0.667 0.199
0.667 0.333 0.801
0.170 0.339 0.804
0.170 0.830 0.804
0.339 0.170 0.196
0.661 0.830 0.804
0.830 0.170 0.196
0.830 0.661 0.196
0.000 0.000 0.500
0.000 0.500 0.500
0.500 0.000 0.500
0.500 0.500 0.500
```

Main lines, by angle (2θ = 5–70°):
- 2θ = 13.21°, d = 6.701 Å, I 9.8
- 2θ = 20.64°, d = 4.303 Å, I 21.6
- 2θ = 27.53°, d = 3.240 Å, I 7.2
- 2θ = 34.66°, d = 2.588 Å, I 100.0
- 2θ = 40.38°, d = 2.234 Å, I 18.4
- 2θ = 42.00°, d = 2.151 Å, I 59.5
- 2θ = 52.35°, d = 1.748 Å, I 5.9
- 2θ = 56.83°, d = 1.620 Å, I 24.9
- 2θ = 64.82°, d = 1.438 Å, I 12.8
- 2θ = 68.30°, d = 1.373 Å, I 14.2